Starting from a GGA-PBE-relaxed structure, the X-ray diffraction stick pattern of La5PrCd6 was computed for Cu Kα, 1.54184 Å.
Kinematic intensities with the Lorentz-polarization factor, no thermal factor.

The 10 most intense peaks (10 to 80 degrees two-theta), low angle first:
2θ (°)  intensity  h k l
32.19  100.0  1 2 1
32.32  49.5  0 0 3
45.99  9.1  0 4 0
46.29  9.0  2 0 2
46.42  8.9  2 0 -4
57.33  18.7  0 4 3
57.53  27.7  3 2 0
57.63  9.2  3 2 -3
76.80  5.8  3 2 3
77.04  7.7  4 0 -5

Structure:
Cell lengths 5.5369, 7.8935, 8.7572 Å; angles 90.00, 108.27, 90.00 degrees
Space group P2/m (No. 10)
One atom of each set of equivalent atoms:
La 0.0000 0.0000 0.0000 x1
La 0.3322 0.0000 0.6642 x2
La 0.3332 0.5000 0.6663 x2
Pr 0.0000 0.5000 0.0000 x1
Cd 0.1654 0.2520 0.3307 x4
Cd 0.5000 0.2521 0.0000 x2

***

Starting from a GGA-PBE-relaxed structure, the X-ray diffraction stick pattern of La4Pr3Cd4 was computed for Cu Kα, 1.54184 Å.
Kinematic intensities with the Lorentz-polarization factor, no thermal factor.

The 10 most intense peaks (10 to 80 degrees two-theta), low angle first:
2θ (°)  intensity  h k l
30.76  28.9  1 0 7
31.53  70.7  1 1 4
32.42  100.0  0 2 0
45.27  19.8  1 2 7
46.45  13.8  1 0 15
51.17  9.4  2 0 0
56.35  7.1  1 1 18
57.22  12.9  1 3 4
57.78  26.7  0 3 11
61.89  30.4  2 2 0

Structure:
Cell lengths 3.5706, 5.5291, 35.0403 Å; angles 90.00, 90.00, 90.00 degrees
Space group Immm (No. 71)
One atom of each set of equivalent atoms:
La 0.0000 0.0000 0.0902 x4
La 0.0000 0.5000 0.2332 x4
Pr 0.0000 0.0000 0.3649 x4
Pr 0.0000 0.5000 0.5000 x2
Cd 0.0000 0.0000 0.1813 x4
Cd 0.0000 0.5000 0.0419 x4

***

Please write out number 2 again, unchanged.
Starting from a GGA-PBE-relaxed structure, the X-ray diffraction stick pattern of La4Pr3Cd4 was computed for Cu Kα, 1.54184 Å.
Kinematic intensities with the Lorentz-polarization factor, no thermal factor.

The 10 most intense peaks (10 to 80 degrees two-theta), low angle first:
2θ (°)  intensity  h k l
30.76  28.9  1 0 7
31.53  70.7  1 1 4
32.42  100.0  0 2 0
45.27  19.8  1 2 7
46.45  13.8  1 0 15
51.17  9.4  2 0 0
56.35  7.1  1 1 18
57.22  12.9  1 3 4
57.78  26.7  0 3 11
61.89  30.4  2 2 0

Structure:
Cell lengths 3.5706, 5.5291, 35.0403 Å; angles 90.00, 90.00, 90.00 degrees
Space group Immm (No. 71)
One atom of each set of equivalent atoms:
La 0.0000 0.0000 0.0902 x4
La 0.0000 0.5000 0.2332 x4
Pr 0.0000 0.0000 0.3649 x4
Pr 0.0000 0.5000 0.5000 x2
Cd 0.0000 0.0000 0.1813 x4
Cd 0.0000 0.5000 0.0419 x4